# ErNiGe
Computed powder X-ray diffraction pattern, Cu Ka. Input: a crystal structure in the Materials Project, relaxed with PBE.
Neutral-atom scattering factors, no anomalous dispersion.

Structural model:
a b c (Å): 10.1633 4.1283 6.8272
angles (deg): 90.00 131.79 90.00
Positions (direct):
Er 0.0480 0.0000 0.3074
Er 0.4520 0.5000 0.6926
Er 0.5480 0.5000 0.3074
Er 0.9520 0.0000 0.6926
Ni 0.1685 0.5000 0.7198
Ni 0.3315 0.0000 0.2802
Ni 0.6685 0.0000 0.7198
Ni 0.8315 0.5000 0.2802
Ge 0.1708 0.5000 0.1078
Ge 0.3292 0.0000 0.8922
Ge 0.6708 0.0000 0.1078
Ge 0.8292 0.5000 0.8922

Most intense lines, 10 to 90 degrees two-theta, sorted by position:
| d (Å) | 2θ/deg | I/Imax |
| --- | --- | --- |
| 3.625 | 24.6 | 46 |
| 2.589 | 34.7 | 46 |
| 2.579 | 34.8 | 43 |
| 2.545 | 35.3 | 33 |
| 2.527 | 35.5 | 52 |
| 2.489 | 36.1 | 100 |
| 2.481 | 36.2 | 86 |
| 2.155 | 41.9 | 84 |
| 2.064 | 43.9 | 58 |
| 1.599 | 57.7 | 26 |

***

# Ba3SnF6
Computed powder X-ray diffraction pattern, Cu Ka. Input: a crystal structure in the Materials Project, relaxed with PBE.
Neutral-atom scattering factors, no anomalous dispersion.

Structural model:
a b c (Å): 3.8329 8.3275 8.4375
angles (deg): 115.40 95.47 99.52
Positions (direct):
Ba 0.0000 0.0000 0.0000
Ba 0.0000 0.5000 0.5000
Ba 0.5000 0.0000 0.5000
Sn 0.0000 0.5000 0.0000
F 0.0793 0.2452 0.6040
F 0.3808 0.2771 0.3106
F 0.4950 0.9088 0.1580
F 0.5050 0.0912 0.8420
F 0.6192 0.7229 0.6894
F 0.9207 0.7548 0.3960

Most intense lines, 10 to 90 degrees two-theta, sorted by position:
| d (Å) | 2θ/deg | I/Imax |
| --- | --- | --- |
| 3.744 | 23.8 | 94 |
| 3.663 | 24.3 | 100 |
| 3.539 | 25.2 | 90 |
| 3.042 | 29.4 | 26 |
| 2.994 | 29.8 | 23 |
| 2.565 | 35.0 | 28 |
| 2.417 | 37.2 | 29 |
| 2.172 | 41.6 | 28 |
| 2.095 | 43.2 | 25 |
| 1.856 | 49.1 | 22 |

***

# HfMg6SiO8
Computed powder X-ray diffraction pattern, Cu Ka. Input: a crystal structure in the Materials Project, relaxed with PBE.
Neutral-atom scattering factors, no anomalous dispersion.

Structural model:
a b c (Å): 4.2886 4.2886 9.4530
angles (deg): 90.00 90.00 90.00
Positions (direct):
Hf 0.0000 0.0000 0.0000
Mg 0.0000 0.0000 0.5000
Mg 0.0000 0.5000 0.2696
Mg 0.0000 0.5000 0.7304
Mg 0.5000 0.0000 0.2696
Mg 0.5000 0.0000 0.7304
Mg 0.5000 0.5000 0.5000
Si 0.5000 0.5000 0.0000
O 0.0000 0.0000 0.2469
O 0.0000 0.0000 0.7531
O 0.0000 0.5000 0.0000
O 0.0000 0.5000 0.5000
O 0.5000 0.0000 0.0000
O 0.5000 0.0000 0.5000
O 0.5000 0.5000 0.2879
O 0.5000 0.5000 0.7121

Most intense lines, 10 to 90 degrees two-theta, sorted by position:
| d (Å) | 2θ/deg | I/Imax |
| --- | --- | --- |
| 4.727 | 18.8 | 42 |
| 4.289 | 20.7 | 55 |
| 3.905 | 22.8 | 100 |
| 3.176 | 28.1 | 50 |
| 2.888 | 31.0 | 49 |
| 2.552 | 35.2 | 71 |
| 2.363 | 38.1 | 60 |
| 2.144 | 42.1 | 98 |
| 1.588 | 58.1 | 63 |
| 1.516 | 61.1 | 29 |

***

# Nd4CdPt
Computed powder X-ray diffraction pattern, Cu Ka. Input: a crystal structure in the Materials Project, relaxed with PBE.
Neutral-atom scattering factors, no anomalous dispersion.

Structural model:
a b c (Å): 10.0216 10.0216 10.0216
angles (deg): 60.00 60.00 60.00
Positions (direct):
Nd 0.1846 0.1846 0.8154
Nd 0.1846 0.8154 0.1846
Nd 0.1846 0.8154 0.8154
Nd 0.4008 0.4008 0.4008
Nd 0.4008 0.4008 0.7975
Nd 0.4008 0.7975 0.4008
Nd 0.5584 0.5584 0.9416
Nd 0.5584 0.9416 0.5584
Nd 0.5584 0.9416 0.9416
Nd 0.7975 0.4008 0.4008
Nd 0.8154 0.1846 0.1846
Nd 0.8154 0.1846 0.8154
Nd 0.8154 0.8154 0.1846
Nd 0.9416 0.5584 0.5584
Nd 0.9416 0.5584 0.9416
Nd 0.9416 0.9416 0.5584
Cd 0.1696 0.1696 0.1696
Cd 0.1696 0.1696 0.4911
Cd 0.1696 0.4911 0.1696
Cd 0.4911 0.1696 0.1696
Pt 0.1770 0.6077 0.6077
Pt 0.6077 0.1770 0.6077
Pt 0.6077 0.6077 0.1770
Pt 0.6077 0.6077 0.6077

Most intense lines, 10 to 90 degrees two-theta, sorted by position:
| d (Å) | 2θ/deg | I/Imax |
| --- | --- | --- |
| 3.251 | 27.4 | 13 |
| 2.893 | 30.9 | 38 |
| 2.728 | 32.8 | 100 |
| 2.505 | 35.8 | 36 |
| 1.670 | 55.0 | 39 |
| 1.637 | 56.2 | 14 |
| 1.424 | 65.5 | 13 |
| 1.370 | 68.5 | 12 |
| 1.169 | 82.5 | 13 |
| 1.150 | 84.2 | 13 |

***

# CsScAs2H2O8
Computed powder X-ray diffraction pattern, Cu Ka. Input: a crystal structure in the Materials Project, relaxed with PBE.
Neutral-atom scattering factors, no anomalous dispersion.

Structural model:
a b c (Å): 5.6304 9.5750 15.2946
angles (deg): 90.00 95.86 90.00
Positions (direct):
Cs 0.2292 0.0058 0.3916
Cs 0.2292 0.4942 0.8916
Cs 0.7708 0.5058 0.1084
Cs 0.7708 0.9942 0.6084
Sc 0.2437 0.0346 0.8470
Sc 0.2437 0.4654 0.3470
Sc 0.7563 0.5346 0.6530
Sc 0.7563 0.9654 0.1530
As 0.2153 0.1490 0.0596
As 0.2153 0.3510 0.5596
As 0.2809 0.7490 0.6913
As 0.2809 0.7510 0.1913
As 0.7191 0.2490 0.8087
As 0.7191 0.2510 0.3087
As 0.7847 0.6490 0.4404
As 0.7847 0.8510 0.9404
H 0.2576 0.7089 0.5410
H 0.2576 0.7911 0.0410
H 0.3306 0.1923 0.6713
H 0.3306 0.3077 0.1713
H 0.6694 0.6923 0.8287
H 0.6694 0.8077 0.3287
H 0.7424 0.2089 0.9590
H 0.7424 0.2911 0.4590
O 0.0713 0.6295 0.7128
O 0.0713 0.8705 0.2128
O 0.0748 0.6137 0.4232
O 0.0748 0.8863 0.9232
O 0.2284 0.5924 0.2347
O 0.2284 0.9076 0.7347
O 0.2424 0.1781 0.9515
O 0.2424 0.3219 0.4515
O 0.2629 0.7057 0.0774
O 0.2629 0.7943 0.5774
O 0.2840 0.1834 0.6057
O 0.2840 0.3166 0.1057
O 0.4135 0.0307 0.1064
O 0.4135 0.4693 0.6064
O 0.4332 0.1937 0.7770
O 0.4332 0.3063 0.2770
O 0.5668 0.6937 0.7230
O 0.5668 0.8063 0.2230
O 0.5865 0.5307 0.3936
O 0.5865 0.9693 0.8936
O 0.7160 0.6834 0.8943
O 0.7160 0.8166 0.3943
O 0.7371 0.2057 0.4226
O 0.7371 0.2943 0.9226
O 0.7576 0.6781 0.5485
O 0.7576 0.8219 0.0485
O 0.7716 0.0924 0.2653
O 0.7716 0.4076 0.7653
O 0.9252 0.1137 0.0768
O 0.9252 0.3863 0.5768
O 0.9287 0.1295 0.7872
O 0.9287 0.3705 0.2872

Most intense lines, 10 to 90 degrees two-theta, sorted by position:
| d (Å) | 2θ/deg | I/Imax |
| --- | --- | --- |
| 3.927 | 22.6 | 35 |
| 3.664 | 24.3 | 42 |
| 3.535 | 25.2 | 39 |
| 3.484 | 25.6 | 23 |
| 3.371 | 26.4 | 100 |
| 3.355 | 26.6 | 23 |
| 3.201 | 27.9 | 57 |
| 3.124 | 28.6 | 25 |
| 2.978 | 30.0 | 29 |
| 2.800 | 32.0 | 50 |

***

# Co2B
Computed powder X-ray diffraction pattern, Cu Ka. Input: a crystal structure in the Materials Project, relaxed with PBE.
Neutral-atom scattering factors, no anomalous dispersion.

Structural model:
a b c (Å): 4.9469 4.9469 4.2672
angles (deg): 90.00 90.00 90.00
Positions (direct):
Co 0.1680 0.3320 0.0000
Co 0.1680 0.6680 0.5000
Co 0.3320 0.1680 0.5000
Co 0.3320 0.8320 0.0000
Co 0.6680 0.1680 0.0000
Co 0.6680 0.8320 0.5000
Co 0.8320 0.3320 0.5000
Co 0.8320 0.6680 0.0000
B 0.0000 0.0000 0.2500
B 0.0000 0.0000 0.7500
B 0.5000 0.5000 0.2500
B 0.5000 0.5000 0.7500

Most intense lines, 10 to 90 degrees two-theta, sorted by position:
| d (Å) | 2θ/deg | I/Imax |
| --- | --- | --- |
| 3.498 | 25.5 | 7 |
| 2.473 | 36.3 | 19 |
| 2.134 | 42.4 | 26 |
| 1.964 | 46.2 | 100 |
| 1.616 | 57.0 | 15 |
| 1.564 | 59.1 | 12 |
| 1.262 | 75.3 | 7 |
| 1.196 | 80.2 | 17 |
| 1.166 | 82.8 | 6 |
| 1.155 | 83.7 | 16 |

***

# GaAgTe2
Computed powder X-ray diffraction pattern, Cu Ka. Input: a crystal structure in the Materials Project, relaxed with PBE.
Neutral-atom scattering factors, no anomalous dispersion.

Structural model:
a b c (Å): 6.4136 6.4136 12.3450
angles (deg): 90.00 90.00 90.00
Positions (direct):
Ga 0.0000 0.0000 0.0000
Ga 0.0000 0.5000 0.2500
Ga 0.5000 0.0000 0.7500
Ga 0.5000 0.5000 0.5000
Ag 0.0000 0.0000 0.5000
Ag 0.0000 0.5000 0.7500
Ag 0.5000 0.0000 0.2500
Ag 0.5000 0.5000 0.0000
Te 0.2332 0.7500 0.1250
Te 0.2500 0.2332 0.8750
Te 0.2500 0.2668 0.3750
Te 0.2668 0.7500 0.6250
Te 0.7332 0.2500 0.6250
Te 0.7500 0.7332 0.3750
Te 0.7500 0.7668 0.8750
Te 0.7668 0.2500 0.1250

Most intense lines, 10 to 90 degrees two-theta, sorted by position:
| d (Å) | 2θ/deg | I/Imax |
| --- | --- | --- |
| 3.655 | 24.4 | 100 |
| 2.268 | 39.8 | 26 |
| 2.224 | 40.6 | 50 |
| 1.927 | 47.2 | 32 |
| 1.874 | 48.6 | 15 |
| 1.603 | 57.5 | 8 |
| 1.444 | 64.5 | 13 |
| 1.301 | 72.7 | 16 |
| 1.276 | 74.4 | 9 |
| 1.232 | 77.4 | 7 |

***

# Rb4Au6S5
Computed powder X-ray diffraction pattern, Cu Ka. Input: a crystal structure in the Materials Project, relaxed with PBE.
Neutral-atom scattering factors, no anomalous dispersion.

Structural model:
a b c (Å): 10.1970 10.1970 10.2783
angles (deg): 90.00 90.00 120.00
Positions (direct):
Rb 0.0000 0.0000 0.0000
Rb 0.0000 0.0000 0.5000
Rb 0.0760 0.4204 0.2500
Rb 0.3444 0.9240 0.2500
Rb 0.4204 0.0760 0.7500
Rb 0.5796 0.6556 0.2500
Rb 0.6556 0.5796 0.7500
Rb 0.9240 0.3444 0.7500
Au 0.1726 0.7172 0.5937
Au 0.1726 0.7172 0.9063
Au 0.2828 0.4554 0.5937
Au 0.2828 0.4554 0.9063
Au 0.4554 0.2828 0.0937
Au 0.4554 0.2828 0.4063
Au 0.5446 0.8274 0.5937
Au 0.5446 0.8274 0.9063
Au 0.7172 0.1726 0.0937
Au 0.7172 0.1726 0.4063
Au 0.8274 0.5446 0.0937
Au 0.8274 0.5446 0.4063
S 0.0405 0.7717 0.7500
S 0.2283 0.2688 0.7500
S 0.2688 0.2283 0.2500
S 0.3333 0.6667 0.0355
S 0.3333 0.6667 0.4645
S 0.6667 0.3333 0.5355
S 0.6667 0.3333 0.9645
S 0.7312 0.9595 0.7500
S 0.7717 0.0405 0.2500
S 0.9595 0.7312 0.2500

Most intense lines, 10 to 90 degrees two-theta, sorted by position:
| d (Å) | 2θ/deg | I/Imax |
| --- | --- | --- |
| 8.831 | 10.0 | 60 |
| 6.698 | 13.2 | 89 |
| 3.619 | 24.6 | 42 |
| 3.338 | 26.7 | 86 |
| 3.194 | 27.9 | 90 |
| 3.175 | 28.1 | 100 |
| 2.799 | 32.0 | 41 |
| 2.550 | 35.2 | 40 |
| 2.391 | 37.6 | 62 |
| 2.233 | 40.4 | 36 |

***

# SrSmEuNbO6
Computed powder X-ray diffraction pattern, Cu Ka. Input: a crystal structure in the Materials Project, relaxed with PBE.
Neutral-atom scattering factors, no anomalous dispersion.

Structural model:
a b c (Å): 6.0423 6.0423 6.0423
angles (deg): 60.00 60.00 60.00
Positions (direct):
Sr 0.0000 0.0000 0.0000
Sm 0.7500 0.7500 0.7500
Eu 0.5000 0.5000 0.5000
Nb 0.2500 0.2500 0.2500
O 0.0151 0.0151 0.4849
O 0.0151 0.4849 0.0151
O 0.0151 0.4849 0.4849
O 0.4849 0.0151 0.0151
O 0.4849 0.0151 0.4849
O 0.4849 0.4849 0.0151

Most intense lines, 10 to 90 degrees two-theta, sorted by position:
| d (Å) | 2θ/deg | I/Imax |
| --- | --- | --- |
| 4.934 | 18.0 | 6 |
| 3.021 | 29.6 | 100 |
| 2.576 | 34.8 | 5 |
| 2.136 | 42.3 | 31 |
| 1.960 | 46.3 | 3 |
| 1.744 | 52.5 | 41 |
| 1.511 | 61.4 | 19 |
| 1.351 | 69.6 | 18 |
| 1.233 | 77.4 | 6 |
| 1.142 | 84.9 | 21 |

***

Question: Number 3 is which compound?
Answer: HfMg6SiO8

***

What did the sixth record say?
# Co2B
Computed powder X-ray diffraction pattern, Cu Ka. Input: a crystal structure in the Materials Project, relaxed with PBE.
Neutral-atom scattering factors, no anomalous dispersion.

Structural model:
a b c (Å): 4.9469 4.9469 4.2672
angles (deg): 90.00 90.00 90.00
Positions (direct):
Co 0.1680 0.3320 0.0000
Co 0.1680 0.6680 0.5000
Co 0.3320 0.1680 0.5000
Co 0.3320 0.8320 0.0000
Co 0.6680 0.1680 0.0000
Co 0.6680 0.8320 0.5000
Co 0.8320 0.3320 0.5000
Co 0.8320 0.6680 0.0000
B 0.0000 0.0000 0.2500
B 0.0000 0.0000 0.7500
B 0.5000 0.5000 0.2500
B 0.5000 0.5000 0.7500

Most intense lines, 10 to 90 degrees two-theta, sorted by position:
| d (Å) | 2θ/deg | I/Imax |
| --- | --- | --- |
| 3.498 | 25.5 | 7 |
| 2.473 | 36.3 | 19 |
| 2.134 | 42.4 | 26 |
| 1.964 | 46.2 | 100 |
| 1.616 | 57.0 | 15 |
| 1.564 | 59.1 | 12 |
| 1.262 | 75.3 | 7 |
| 1.196 | 80.2 | 17 |
| 1.166 | 82.8 | 6 |
| 1.155 | 83.7 | 16 |

***

Question: What is the formula in the first record?
Answer: ErNiGe